1.
This entry pairs a crystal structure of Al9Rh2 with its theoretical powder XRD pattern. Radiation: Cu Ka. Structure: DFT lattice parameters and positions (GGA-PBE).

Top 10 peaks for 2θ from 10° to 90°, low angle first:
| 2θ (°) | I/Imax |
| --- | --- |
| 19.61 | 100.0 |
| 21.55 | 75.4 |
| 22.71 | 69.3 |
| 24.67 | 61.8 |
| 29.49 | 63.2 |
| 39.17 | 64.1 |
| 42.72 | 86.2 |
| 45.13 | 60.1 |
| 45.26 | 83.6 |
| 45.43 | 99.7 |

Structural model:
Cell lengths 6.3656, 6.4618, 8.7349 Å; angles 90.00, 95.06, 90.00 degrees
Element x y z (fractional)
Al 0.0000 0.0000 0.0000
Al 0.0000 0.5000 0.5000
Al 0.0966 0.2130 0.7271
Al 0.0966 0.2870 0.2271
Al 0.2116 0.6056 0.0395
Al 0.2116 0.8944 0.5395
Al 0.3884 0.1969 0.9965
Al 0.3884 0.3031 0.4965
Al 0.4002 0.5211 0.7695
Al 0.4002 0.9789 0.2695
Al 0.5998 0.0211 0.7305
Al 0.5998 0.4789 0.2305
Al 0.6116 0.6969 0.5035
Al 0.6116 0.8031 0.0035
Al 0.7884 0.1056 0.4605
Al 0.7884 0.3944 0.9605
Al 0.9034 0.7130 0.7729
Al 0.9034 0.7870 0.2729
Rh 0.2639 0.6229 0.3312
Rh 0.2639 0.8771 0.8312
Rh 0.7361 0.1229 0.1688
Rh 0.7361 0.3771 0.6688

---

2.
This entry pairs a crystal structure of Al2Rh7 with its theoretical powder XRD pattern. Radiation: Cu Ka. Structure: DFT lattice parameters and positions (GGA-PBE).

Top 10 peaks for 2θ from 10° to 90°, low angle first:
| 2θ (°) | I/Imax |
| --- | --- |
| 13.50 | 13.1 |
| 40.58 | 100.0 |
| 41.30 | 29.7 |
| 47.42 | 61.0 |
| 68.80 | 19.3 |
| 69.82 | 19.8 |
| 83.04 | 12.0 |
| 83.52 | 22.3 |
| 84.47 | 10.6 |
| 87.81 | 10.3 |

Structural model:
Cell lengths 4.7267, 4.7267, 6.5582 Å; angles 90.00, 90.00, 120.00 degrees
Element x y z (fractional)
Al 0.3333 0.6667 0.0000
Al 0.6667 0.3333 0.0000
Rh 0.0000 0.0000 0.0000
Rh 0.0000 0.3300 0.6738
Rh 0.0000 0.6700 0.3262
Rh 0.3300 0.0000 0.6738
Rh 0.3300 0.3300 0.3262
Rh 0.6700 0.0000 0.3262
Rh 0.6700 0.6700 0.6738

---

3.
This entry pairs a crystal structure of Al3Rh4 with its theoretical powder XRD pattern. Radiation: Cu Ka. Structure: DFT lattice parameters and positions (GGA-PBE).

Top 10 peaks for 2θ from 10° to 90°, low angle first:
| 2θ (°) | I/Imax |
| --- | --- |
| 16.92 | 15.1 |
| 31.76 | 45.2 |
| 34.22 | 9.1 |
| 36.19 | 12.0 |
| 41.47 | 62.6 |
| 42.09 | 100.0 |
| 54.82 | 9.2 |
| 60.10 | 20.5 |
| 74.56 | 9.7 |
| 76.08 | 33.7 |

Structural model:
Cell lengths 3.0791, 3.0791, 20.9653 Å; angles 90.00, 90.00, 90.00 degrees
Element x y z (fractional)
Al 0.0000 0.0000 0.0000
Al 0.0000 0.0000 0.2892
Al 0.0000 0.0000 0.7108
Al 0.5000 0.5000 0.2108
Al 0.5000 0.5000 0.5000
Al 0.5000 0.5000 0.7892
Rh 0.0000 0.0000 0.1569
Rh 0.0000 0.0000 0.4331
Rh 0.0000 0.0000 0.5669
Rh 0.0000 0.0000 0.8431
Rh 0.5000 0.5000 0.0669
Rh 0.5000 0.5000 0.3431
Rh 0.5000 0.5000 0.6569
Rh 0.5000 0.5000 0.9331

---

4.
This entry pairs a crystal structure of AlRh2 with its theoretical powder XRD pattern. Radiation: Cu Ka. Structure: DFT lattice parameters and positions (GGA-PBE).

Top 10 peaks for 2θ from 10° to 90°, low angle first:
| 2θ (°) | I/Imax |
| --- | --- |
| 12.25 | 13.3 |
| 40.65 | 100.0 |
| 46.85 | 15.7 |
| 47.15 | 18.6 |
| 47.87 | 14.1 |
| 68.65 | 10.4 |
| 69.46 | 10.1 |
| 82.72 | 9.8 |
| 83.18 | 12.1 |
| 84.24 | 9.2 |

Structural model:
Cell lengths 6.1215, 3.8547, 7.6006 Å; angles 90.00, 108.11, 90.00 degrees
Element x y z (fractional)
Al 0.0000 0.0000 0.0000
Al 0.0310 0.5000 0.2936
Al 0.3370 0.0000 0.8255
Al 0.6430 0.0000 0.1877
Rh 0.3082 0.5000 0.0811
Rh 0.3264 0.0000 0.3463
Rh 0.3522 0.5000 0.6068
Rh 0.6669 0.5000 0.4109
Rh 0.6731 0.0000 0.6771
Rh 0.7052 0.5000 0.9779
Rh 0.9918 0.0000 0.5095
Rh 0.9969 0.5000 0.7551

---

5.
This entry pairs a crystal structure of Al4Rh3 with its theoretical powder XRD pattern. Radiation: Cu Ka. Structure: DFT lattice parameters and positions (GGA-PBE).

Top 10 peaks for 2θ from 10° to 90°, low angle first:
| 2θ (°) | I/Imax |
| --- | --- |
| 13.07 | 41.8 |
| 24.75 | 24.5 |
| 25.90 | 23.5 |
| 30.12 | 64.5 |
| 42.85 | 100.0 |
| 43.37 | 93.9 |
| 62.61 | 30.9 |
| 78.49 | 16.3 |
| 78.86 | 31.4 |
| 79.96 | 15.9 |

Structural model:
Cell lengths 7.2001, 7.2001, 7.2001 Å; angles 34.09, 34.09, 34.09 degrees
Element x y z (fractional)
Al 0.1182 0.1182 0.1182
Al 0.3710 0.3710 0.3710
Al 0.6290 0.6290 0.6290
Al 0.8818 0.8818 0.8818
Rh 0.2475 0.2475 0.2475
Rh 0.5000 0.5000 0.5000
Rh 0.7525 0.7525 0.7525

---

6.
This entry pairs a crystal structure of Al3Rh2 with its theoretical powder XRD pattern. Radiation: Cu Ka. Structure: DFT lattice parameters and positions (GGA-PBE).

Top 10 peaks for 2θ from 10° to 90°, low angle first:
| 2θ (°) | I/Imax |
| --- | --- |
| 21.91 | 27.3 |
| 24.25 | 66.5 |
| 29.03 | 60.1 |
| 39.86 | 100.0 |
| 41.07 | 51.8 |
| 41.29 | 23.1 |
| 42.46 | 94.1 |
| 49.86 | 51.7 |
| 66.51 | 21.4 |
| 68.51 | 19.6 |

Structural model:
Cell lengths 7.1039, 5.0242, 7.9915 Å; angles 61.24, 38.31, 80.45 degrees
Element x y z (fractional)
Al 0.9999 0.9999 0.0001
Al 0.2499 0.2499 0.2501
Al 0.3890 0.6110 0.3864
Al 0.6110 0.3890 0.6136
Al 0.6364 0.8636 0.6390
Al 0.8636 0.6364 0.8610
Rh 0.0598 0.4382 0.0631
Rh 0.1869 0.8111 0.1902
Rh 0.4382 0.0598 0.4389
Rh 0.8111 0.1869 0.8118

---

7.
This entry pairs a crystal structure of Al5Rh7 with its theoretical powder XRD pattern. Radiation: Cu Ka. Structure: DFT lattice parameters and positions (GGA-PBE).

Top 10 peaks for 2θ from 10° to 90°, low angle first:
| 2θ (°) | I/Imax |
| --- | --- |
| 12.16 | 39.5 |
| 23.49 | 17.2 |
| 32.52 | 16.6 |
| 40.38 | 97.7 |
| 40.68 | 100.0 |
| 46.00 | 31.7 |
| 47.38 | 26.0 |
| 48.05 | 33.9 |
| 68.71 | 18.7 |
| 69.78 | 15.9 |

Structural model:
Cell lengths 6.2429, 3.7869, 7.6757 Å; angles 90.00, 108.53, 90.00 degrees
Element x y z (fractional)
Al 0.0000 0.0000 0.0000
Al 0.0031 0.5000 0.7166
Al 0.3706 0.5000 0.1074
Al 0.6294 0.5000 0.8926
Al 0.9969 0.5000 0.2834
Rh 0.0000 0.0000 0.5000
Rh 0.2999 0.0000 0.8577
Rh 0.3062 0.0000 0.3037
Rh 0.3410 0.5000 0.5802
Rh 0.6590 0.5000 0.4198
Rh 0.6938 0.0000 0.6963
Rh 0.7001 0.0000 0.1423

---

8.
This entry pairs a crystal structure of Al4Rh3 with its theoretical powder XRD pattern. Radiation: Cu Ka. Structure: DFT lattice parameters and positions (GGA-PBE).

Top 10 peaks for 2θ from 10° to 90°, low angle first:
| 2θ (°) | I/Imax |
| --- | --- |
| 19.67 | 62.9 |
| 30.94 | 80.5 |
| 39.31 | 100.0 |
| 39.95 | 70.0 |
| 41.57 | 33.0 |
| 43.39 | 35.7 |
| 46.95 | 55.5 |
| 48.38 | 34.8 |
| 61.65 | 24.4 |
| 64.03 | 24.7 |

Structural model:
Cell lengths 4.8191, 4.8191, 4.8191 Å; angles 102.66, 102.66, 102.66 degrees
Element x y z (fractional)
Al 0.0000 0.0000 0.0000
Al 0.2876 0.2876 0.6797
Al 0.2876 0.6797 0.2876
Al 0.6797 0.2876 0.2876
Rh 0.4335 0.8444 0.8444
Rh 0.8444 0.4335 0.8444
Rh 0.8444 0.8444 0.4335

---

9.
This entry pairs a crystal structure of Al2Rh3 with its theoretical powder XRD pattern. Radiation: Cu Ka. Structure: DFT lattice parameters and positions (GGA-PBE).

Top 10 peaks for 2θ from 10° to 90°, low angle first:
| 2θ (°) | I/Imax |
| --- | --- |
| 15.73 | 18.6 |
| 16.96 | 16.5 |
| 27.22 | 11.3 |
| 40.30 | 100.0 |
| 40.73 | 47.5 |
| 40.85 | 51.6 |
| 45.57 | 35.7 |
| 46.24 | 34.9 |
| 49.63 | 24.5 |
| 80.63 | 11.2 |

Structural model:
Cell lengths 4.7848, 5.6003, 5.8824 Å; angles 75.83, 77.41, 72.02 degrees
Element x y z (fractional)
Al 0.0000 0.0000 0.0000
Al 0.0132 0.4750 0.0002
Al 0.4102 0.5841 0.2335
Al 0.7812 0.6817 0.4768
Rh 0.1885 0.7893 0.6322
Rh 0.2030 0.2931 0.6060
Rh 0.3990 0.0486 0.2376
Rh 0.5891 0.3813 0.8608
Rh 0.6079 0.8847 0.8396
Rh 0.8045 0.2091 0.3918

---

10.
This entry pairs a crystal structure of Al3Rh4 with its theoretical powder XRD pattern. Radiation: Cu Ka. Structure: DFT lattice parameters and positions (GGA-PBE).

Top 10 peaks for 2θ from 10° to 90°, low angle first:
| 2θ (°) | I/Imax |
| --- | --- |
| 19.65 | 23.5 |
| 24.51 | 14.0 |
| 31.00 | 19.8 |
| 40.40 | 100.0 |
| 41.75 | 27.0 |
| 47.40 | 58.4 |
| 68.33 | 18.8 |
| 70.22 | 18.1 |
| 82.48 | 11.3 |
| 83.37 | 20.7 |

Structural model:
Cell lengths 4.7193, 4.7193, 4.7193 Å; angles 100.64, 100.64, 100.64 degrees
Element x y z (fractional)
Al 0.1460 0.5855 0.2685
Al 0.2685 0.1460 0.5855
Al 0.5855 0.2685 0.1460
Rh 0.0241 0.0241 0.0241
Rh 0.4229 0.7137 0.8359
Rh 0.7137 0.8359 0.4229
Rh 0.8359 0.4229 0.7137

---

11.
This entry pairs a crystal structure of Al5Rh3 with its theoretical powder XRD pattern. Radiation: Cu Ka. Structure: DFT lattice parameters and positions (GGA-PBE).

Top 10 peaks for 2θ from 10° to 90°, low angle first:
| 2θ (°) | I/Imax |
| --- | --- |
| 19.48 | 18.6 |
| 21.29 | 45.4 |
| 23.07 | 12.5 |
| 37.46 | 31.9 |
| 39.55 | 100.0 |
| 43.36 | 25.5 |
| 47.15 | 59.8 |
| 66.17 | 21.3 |
| 71.57 | 16.8 |
| 82.46 | 22.8 |

Structural model:
Cell lengths 5.2971, 5.2971, 5.2971 Å; angles 64.45, 64.45, 64.45 degrees
Element x y z (fractional)
Al 0.0000 0.0000 0.0000
Al 0.0000 0.5000 0.5000
Al 0.5000 0.0000 0.5000
Al 0.5000 0.5000 0.0000
Al 0.5000 0.5000 0.5000
Rh 0.0000 0.0000 0.5000
Rh 0.0000 0.5000 0.0000
Rh 0.5000 0.0000 0.0000

---

12.
This entry pairs a crystal structure of Al5Rh7 with its theoretical powder XRD pattern. Radiation: Cu Ka. Structure: DFT lattice parameters and positions (GGA-PBE).

Top 10 peaks for 2θ from 10° to 90°, low angle first:
| 2θ (°) | I/Imax |
| --- | --- |
| 23.03 | 21.5 |
| 30.28 | 18.0 |
| 40.83 | 100.0 |
| 45.01 | 19.0 |
| 48.71 | 29.4 |
| 68.48 | 20.8 |
| 71.39 | 6.4 |
| 80.17 | 13.7 |
| 85.62 | 22.0 |
| 88.42 | 6.7 |

Structural model:
Cell lengths 4.8193, 4.8193, 7.9256 Å; angles 90.00, 90.00, 113.41 degrees
Element x y z (fractional)
Al 0.0000 0.0000 0.0000
Al 0.0000 0.5000 0.8335
Al 0.5000 0.0000 0.1665
Al 0.5000 0.5000 0.3303
Al 0.5000 0.5000 0.6697
Rh 0.0000 0.0000 0.3255
Rh 0.0000 0.0000 0.6745
Rh 0.0000 0.5000 0.1572
Rh 0.0000 0.5000 0.5097
Rh 0.5000 0.0000 0.4903
Rh 0.5000 0.0000 0.8428
Rh 0.5000 0.5000 0.0000